# Nd6ZnFe13
Computed powder X-ray diffraction pattern, λ = 1.5418 Å (Cu Kα). Input: a crystal structure in the Materials Project, relaxed with PBE.
Lines closer than 0.1° are merged.

Crystal structure
```
data_Nd6ZnFe13
_space_group_name_H-M_alt 'I 4/m c m'
_space_group_IT_number 140
_space_group_name_Hall '-I 4 2c'
_cell_length_a 8.047
_cell_length_b 8.047
_cell_length_c 22.786
_cell_angle_alpha 90.00
_cell_angle_beta 90.00
_cell_angle_gamma 90.00
loop_
_atom_site_label
_atom_site_type_symbol
_atom_site_fract_x
_atom_site_fract_y
_atom_site_fract_z
_atom_site_occupancy
Nd1 Nd 0.000 0.000 0.108 1
Nd2 Nd 0.163 0.337 0.188 1
Zn1 Zn 0.000 0.000 0.250 1
Fe1 Fe 0.000 0.500 0.000 1
Fe2 Fe 0.067 0.210 0.500 1
Fe3 Fe 0.114 0.386 0.404 1
Fe4 Fe 0.178 0.322 0.060 1
```

Principal peaks in the range 10 to 80 degrees two-theta, in order of falling intensity:
- hkl 3 1 0, d = 2.545 Å, rel. 100.0
- hkl 2 0 8, d = 2.324 Å, rel. 75.9
- hkl 2 1 5, d = 2.824 Å, rel. 66.6
- hkl 2 1 3, d = 3.252 Å, rel. 61.4
- hkl 4 1 1, d = 1.945 Å, rel. 31.5
- hkl 2 1 9, d = 2.071 Å, rel. 31.0
- hkl 3 3 8, d = 1.579 Å, rel. 29.0
- hkl 0 0 10, d = 2.278 Å, rel. 28.5
- hkl 2 2 0, d = 2.845 Å, rel. 23.5
- hkl 2 1 7, d = 2.414 Å, rel. 21.6

---

# Na2CuPCO7
Computed powder X-ray diffraction pattern, λ = 1.5418 Å (Cu Kα). Input: a crystal structure in the Materials Project, relaxed with PBE.
Lines closer than 0.1° are merged.

Crystal structure
```
data_Na2CuPCO7
_space_group_name_H-M_alt 'P 1 21/m 1'
_space_group_IT_number 11
_space_group_name_Hall '-P 2yb'
_cell_length_a 5.179
_cell_length_b 6.441
_cell_length_c 9.021
_cell_angle_alpha 90.00
_cell_angle_beta 90.12
_cell_angle_gamma 90.00
loop_
_atom_site_label
_atom_site_type_symbol
_atom_site_fract_x
_atom_site_fract_y
_atom_site_fract_z
_atom_site_occupancy
Na1 Na 0.231 0.006 0.257 1
Cu1 Cu 0.221 0.250 0.856 1
P1 P 0.294 0.750 0.925 1
C1 C 0.272 0.250 0.574 1
O1 O 0.054 0.250 0.645 1
O2 O 0.165 0.750 0.080 1
O3 O 0.210 0.559 0.831 1
O4 O 0.284 0.250 0.435 1
O5 O 0.406 0.250 0.054 1
O6 O 0.474 0.250 0.660 1
```

Principal peaks in the range 10 to 80 degrees two-theta, in order of falling intensity:
- hkl 1 2 -1, d = 2.619 Å, rel. 100.0
- hkl 1 0 -2, d = 3.403 Å, rel. 88.9
- hkl 0 1 1, d = 5.242 Å, rel. 75.5
- hkl 0 2 0, d = 3.220 Å, rel. 56.2
- hkl 2 0 0, d = 2.590 Å, rel. 54.7
- hkl 1 1 0, d = 4.036 Å, rel. 44.4
- hkl 1 0 -3, d = 2.602 Å, rel. 28.5
- hkl 0 2 4, d = 1.847 Å, rel. 26.3
- hkl 1 1 3, d = 2.410 Å, rel. 26.2
- hkl 2 1 -2, d = 2.121 Å, rel. 24.5

---

# Sr2LiPt
Computed powder X-ray diffraction pattern, λ = 1.5418 Å (Cu Kα). Input: a crystal structure in the Materials Project, relaxed with PBE.
Lines closer than 0.1° are merged.

Crystal structure
```
data_Sr2LiPt
_space_group_name_H-M_alt 'F m -3 m'
_space_group_IT_number 225
_space_group_name_Hall '-F 4 2 3'
_cell_length_a 7.623
_cell_length_b 7.623
_cell_length_c 7.623
_cell_angle_alpha 90.00
_cell_angle_beta 90.00
_cell_angle_gamma 90.00
loop_
_atom_site_label
_atom_site_type_symbol
_atom_site_fract_x
_atom_site_fract_y
_atom_site_fract_z
_atom_site_occupancy
Sr1 Sr 0.250 0.250 0.250 1
Li1 Li 0.000 0.000 0.000 1
Pt1 Pt 0.000 0.000 0.500 1
```

Principal peaks in the range 10 to 80 degrees two-theta, in order of falling intensity:
- hkl 2 2 0, d = 2.695 Å, rel. 100.0
- hkl 1 1 1, d = 4.401 Å, rel. 56.6
- hkl 4 2 2, d = 1.556 Å, rel. 37.8
- hkl 3 1 1, d = 2.298 Å, rel. 31.9
- hkl 4 0 0, d = 1.906 Å, rel. 18.1
- hkl 6 2 0, d = 1.205 Å, rel. 16.5
- hkl 3 3 1, d = 1.749 Å, rel. 14.1
- hkl 4 4 0, d = 1.347 Å, rel. 11.7
- hkl 5 1 1, d = 1.467 Å, rel. 10.6
- hkl 5 3 1, d = 1.288 Å, rel. 10.4